[1]
This entry pairs a crystal structure of LiSbAu2 with its calculated XRD peak list. Radiation: copper Kα. Structure: the GGA-PBE geometry in Alexandria.
Intensities are scaled so that the largest is 100.

Top 6 peaks for 5 to 70 degrees two-theta, sorted by position:
- 2θ = 19.2°, intensity 33
- 2θ = 31.4°, intensity 100
- 2θ = 39.0°, intensity 22
- 2θ = 42.1°, intensity 46
- 2θ = 47.3°, intensity 52
- 2θ = 58.7°, intensity 17

Structure:
Unit cell a=9.707 b=9.707 c=9.707 alpha=154.82 beta=154.82 gamma=35.91
Sites, in units of the cell vectors:
Li 0.000 0.000 0.000
Li 0.750 0.250 0.500
Sb 0.250 0.750 0.500
Sb 0.500 0.500 0.000
Au 0.119 0.625 0.994
Au 0.375 0.369 0.494
Au 0.631 0.125 0.006
Au 0.875 0.881 0.506

---

[2]
This entry pairs a crystal structure of Li7SbAu12 with its calculated XRD peak list. Radiation: copper Kα. Structure: the GGA-PBE geometry in Alexandria.
Intensities are scaled so that the largest is 100.

Top 6 peaks for 5 to 70 degrees two-theta, sorted by position:
- 2θ = 20.7°, intensity 64
- 2θ = 27.5°, intensity 37
- 2θ = 38.5°, intensity 100
- 2θ = 39.4°, intensity 33
- 2θ = 40.5°, intensity 66
- 2θ = 40.8°, intensity 27

Structure:
Unit cell a=7.148 b=7.148 c=7.148 alpha=87.58 beta=87.58 gamma=87.58
Sites, in units of the cell vectors:
Li 0.000 0.000 0.000
Li 0.153 0.693 0.260
Li 0.260 0.153 0.693
Li 0.307 0.740 0.847
Li 0.693 0.260 0.153
Li 0.740 0.847 0.307
Li 0.847 0.307 0.740
Sb 0.500 0.500 0.500
Au 0.028 0.113 0.345
Au 0.113 0.345 0.028
Au 0.127 0.512 0.642
Au 0.345 0.028 0.113
Au 0.358 0.873 0.488
Au 0.488 0.358 0.873
Au 0.512 0.642 0.127
Au 0.642 0.127 0.512
Au 0.655 0.972 0.887
Au 0.873 0.488 0.358
Au 0.887 0.655 0.972
Au 0.972 0.887 0.655

---

[3]
This entry pairs a crystal structure of Li4Sb2Au3 with its calculated XRD peak list. Radiation: copper Kα. Structure: the GGA-PBE geometry in Alexandria.
Intensities are scaled so that the largest is 100.

Top 6 peaks for 5 to 70 degrees two-theta, sorted by position:
- 2θ = 19.2°, intensity 49
- 2θ = 24.0°, intensity 69
- 2θ = 27.2°, intensity 67
- 2θ = 37.2°, intensity 100
- 2θ = 37.6°, intensity 89
- 2θ = 42.2°, intensity 39

Structure:
Unit cell a=5.169 b=5.169 c=8.664 alpha=109.29 beta=109.29 gamma=48.92
Sites, in units of the cell vectors:
Li 0.016 0.016 0.343
Li 0.340 0.340 0.124
Li 0.660 0.660 0.876
Li 0.984 0.984 0.657
Sb 0.322 0.322 0.781
Sb 0.678 0.678 0.219
Au 0.000 0.000 0.000
Au 0.342 0.342 0.452
Au 0.658 0.658 0.548

---

[4]
This entry pairs a crystal structure of Li10SbAu6 with its calculated XRD peak list. Radiation: copper Kα. Structure: the GGA-PBE geometry in Alexandria.
Intensities are scaled so that the largest is 100.

Top 6 peaks for 5 to 70 degrees two-theta, sorted by position:
- 2θ = 16.1°, intensity 21
- 2θ = 23.0°, intensity 20
- 2θ = 28.2°, intensity 100
- 2θ = 40.2°, intensity 38
- 2θ = 40.4°, intensity 35
- 2θ = 50.0°, intensity 17

Structure:
Unit cell a=7.733 b=7.733 c=5.510 alpha=90.00 beta=90.00 gamma=120.00
Sites, in units of the cell vectors:
Li 0.000 0.300 0.321
Li 0.000 0.700 0.679
Li 0.300 0.000 0.321
Li 0.300 0.300 0.679
Li 0.333 0.667 0.000
Li 0.333 0.667 0.500
Li 0.667 0.333 0.000
Li 0.667 0.333 0.500
Li 0.700 0.000 0.679
Li 0.700 0.700 0.321
Sb 0.000 0.000 0.000
Au 0.000 0.367 0.808
Au 0.000 0.633 0.192
Au 0.367 0.000 0.808
Au 0.367 0.367 0.192
Au 0.633 0.000 0.192
Au 0.633 0.633 0.808

---

[5]
This entry pairs a crystal structure of Li8Sb2Au with its calculated XRD peak list. Radiation: copper Kα. Structure: the GGA-PBE geometry in Alexandria.
Intensities are scaled so that the largest is 100.

Top 6 peaks for 5 to 70 degrees two-theta, sorted by position:
- 2θ = 23.7°, intensity 100
- 2θ = 24.1°, intensity 95
- 2θ = 27.5°, intensity 65
- 2θ = 28.1°, intensity 31
- 2θ = 39.7°, intensity 65
- 2θ = 46.0°, intensity 34

Structure:
Unit cell a=7.852 b=7.852 c=7.852 alpha=145.43 beta=132.23 gamma=60.29
Sites, in units of the cell vectors:
Li 0.111 0.348 0.763
Li 0.175 0.175 0.000
Li 0.258 0.000 0.258
Li 0.415 0.652 0.763
Li 0.585 0.348 0.237
Li 0.742 0.000 0.742
Li 0.825 0.825 0.000
Li 0.889 0.652 0.237
Sb 0.324 0.824 0.500
Sb 0.676 0.176 0.500
Au 0.000 0.500 0.500

---

[6]
This entry pairs a crystal structure of Li5SbAu4 with its calculated XRD peak list. Radiation: copper Kα. Structure: the GGA-PBE geometry in Alexandria.
Intensities are scaled so that the largest is 100.

Top 6 peaks for 5 to 70 degrees two-theta, sorted by position:
- 2θ = 5.3°, intensity 39
- 2θ = 27.0°, intensity 47
- 2θ = 28.2°, intensity 100
- 2θ = 39.4°, intensity 77
- 2θ = 40.3°, intensity 44
- 2θ = 49.2°, intensity 37

Structure:
Unit cell a=3.162 b=3.162 c=16.537 alpha=90.00 beta=90.00 gamma=90.00
Sites, in units of the cell vectors:
Li 0.000 0.000 0.000
Li 0.000 0.000 0.187
Li 0.000 0.000 0.376
Li 0.000 0.000 0.624
Li 0.000 0.000 0.813
Sb 0.500 0.500 0.500
Au 0.500 0.500 0.093
Au 0.500 0.500 0.281
Au 0.500 0.500 0.719
Au 0.500 0.500 0.907

---

[7]
This entry pairs a crystal structure of Li2SbAu with its calculated XRD peak list. Radiation: copper Kα. Structure: the GGA-PBE geometry in Alexandria.
Intensities are scaled so that the largest is 100.

Top 6 peaks for 5 to 70 degrees two-theta, sorted by position:
- 2θ = 23.3°, intensity 100
- 2θ = 38.3°, intensity 30
- 2θ = 38.6°, intensity 44
- 2θ = 38.7°, intensity 15
- 2θ = 45.3°, intensity 27
- 2θ = 69.4°, intensity 11

Structure:
Unit cell a=4.664 b=4.664 c=4.651 alpha=119.43 beta=119.43 gamma=90.92
Sites, in units of the cell vectors:
Li 0.000 0.000 0.000
Li 0.751 0.249 0.500
Sb 0.500 0.500 0.000
Au 0.249 0.751 0.500

---

[8]
This entry pairs a crystal structure of Li2SbAu5 with its calculated XRD peak list. Radiation: copper Kα. Structure: the GGA-PBE geometry in Alexandria.
Intensities are scaled so that the largest is 100.

Top 6 peaks for 5 to 70 degrees two-theta, sorted by position:
- 2θ = 21.2°, intensity 16
- 2θ = 21.9°, intensity 16
- 2θ = 37.5°, intensity 100
- 2θ = 43.1°, intensity 34
- 2θ = 44.7°, intensity 15
- 2θ = 63.8°, intensity 22

Structure:
Unit cell a=5.935 b=5.841 c=5.834 alpha=61.11 beta=59.50 gamma=59.39
Sites, in units of the cell vectors:
Li 0.000 0.500 0.500
Li 0.500 0.000 0.000
Sb 0.000 0.000 0.000
Au 0.000 0.000 0.500
Au 0.000 0.500 0.000
Au 0.500 0.000 0.500
Au 0.500 0.500 0.000
Au 0.500 0.500 0.500

---

[9]
This entry pairs a crystal structure of Li4SbAu with its calculated XRD peak list. Radiation: copper Kα. Structure: the GGA-PBE geometry in Alexandria.
Intensities are scaled so that the largest is 100.

Top 6 peaks for 5 to 70 degrees two-theta, sorted by position:
- 2θ = 24.1°, intensity 100
- 2θ = 27.0°, intensity 33
- 2θ = 40.6°, intensity 29
- 2θ = 46.0°, intensity 36
- 2θ = 49.5°, intensity 28
- 2θ = 64.4°, intensity 19

Structure:
Unit cell a=4.665 b=4.665 c=6.015 alpha=90.00 beta=90.00 gamma=90.00
Sites, in units of the cell vectors:
Li 0.000 0.500 0.240
Li 0.000 0.500 0.760
Li 0.500 0.000 0.240
Li 0.500 0.000 0.760
Sb 0.000 0.000 0.000
Au 0.500 0.500 0.500

---

[10]
This entry pairs a crystal structure of Li2SbAu with its calculated XRD peak list. Radiation: copper Kα. Structure: the GGA-PBE geometry in Alexandria.
Intensities are scaled so that the largest is 100.

Top 6 peaks for 5 to 70 degrees two-theta, sorted by position:
- 2θ = 17.4°, intensity 31
- 2θ = 25.9°, intensity 100
- 2θ = 30.1°, intensity 43
- 2θ = 38.5°, intensity 25
- 2θ = 40.1°, intensity 72
- 2θ = 40.3°, intensity 28

Structure:
Unit cell a=4.672 b=5.935 c=5.103 alpha=90.00 beta=90.00 gamma=90.00
Sites, in units of the cell vectors:
Li 0.250 0.005 0.169
Li 0.250 0.495 0.169
Li 0.750 0.505 0.831
Li 0.750 0.995 0.831
Sb 0.250 0.250 0.673
Sb 0.750 0.750 0.327
Au 0.250 0.750 0.679
Au 0.750 0.250 0.321

---

[11]
This entry pairs a crystal structure of SrLi2Sb2Au2 with its calculated XRD peak list. Radiation: copper Kα. Structure: the GGA-PBE geometry in Alexandria.
Intensities are scaled so that the largest is 100.

Top 6 peaks for 5 to 70 degrees two-theta, sorted by position:
- 2θ = 20.8°, intensity 55
- 2θ = 22.3°, intensity 54
- 2θ = 26.1°, intensity 52
- 2θ = 33.0°, intensity 65
- 2θ = 38.6°, intensity 100
- 2θ = 44.2°, intensity 47

Structure:
Unit cell a=8.960 b=8.960 c=8.960 alpha=30.19 beta=30.19 gamma=30.19
Sites, in units of the cell vectors:
Sr 0.000 0.000 0.000
Li 0.140 0.140 0.140
Li 0.860 0.860 0.860
Sb 0.251 0.251 0.251
Sb 0.749 0.749 0.749
Au 0.437 0.437 0.437
Au 0.563 0.563 0.563

---

[12]
This entry pairs a crystal structure of LiSc2Au with its calculated XRD peak list. Radiation: copper Kα. Structure: the GGA-PBE geometry in Alexandria.
Intensities are scaled so that the largest is 100.

Top 6 peaks for 5 to 70 degrees two-theta, sorted by position:
- 2θ = 22.8°, intensity 100
- 2θ = 26.3°, intensity 17
- 2θ = 37.6°, intensity 97
- 2θ = 44.4°, intensity 54
- 2θ = 59.5°, intensity 23
- 2θ = 67.8°, intensity 33

Structure:
Unit cell a=4.786 b=4.786 c=4.786 alpha=60.00 beta=60.00 gamma=60.00
Sites, in units of the cell vectors:
Li 0.000 0.000 0.000
Sc 0.250 0.250 0.250
Sc 0.750 0.750 0.750
Au 0.500 0.500 0.500

---

[13]
This entry pairs a crystal structure of LiScTe2Au with its calculated XRD peak list. Radiation: copper Kα. Structure: the GGA-PBE geometry in Alexandria.
Intensities are scaled so that the largest is 100.

Top 6 peaks for 5 to 70 degrees two-theta, sorted by position:
- 2θ = 12.1°, intensity 58
- 2θ = 21.8°, intensity 35
- 2θ = 24.7°, intensity 100
- 2θ = 25.4°, intensity 32
- 2θ = 33.6°, intensity 34
- 2θ = 38.7°, intensity 50

Structure:
Unit cell a=7.348 b=4.914 c=7.226 alpha=90.00 beta=92.83 gamma=90.00
Sites, in units of the cell vectors:
Li 0.000 0.048 0.250
Li 0.000 0.952 0.750
Sc 0.500 0.499 0.250
Sc 0.500 0.501 0.750
Te 0.205 0.329 0.985
Te 0.205 0.671 0.485
Te 0.795 0.329 0.515
Te 0.795 0.671 0.015
Au 0.500 0.000 0.000
Au 0.500 0.000 0.500

---

[14]
This entry pairs a crystal structure of Li4AuSe3 with its calculated XRD peak list. Radiation: copper Kα. Structure: the GGA-PBE geometry in Alexandria.
Intensities are scaled so that the largest is 100.

Top 6 peaks for 5 to 70 degrees two-theta, sorted by position:
- 2θ = 14.1°, intensity 66
- 2θ = 16.9°, intensity 76
- 2θ = 24.7°, intensity 100
- 2θ = 26.5°, intensity 32
- 2θ = 35.1°, intensity 44
- 2θ = 40.1°, intensity 41

Structure:
Unit cell a=6.918 b=6.918 c=8.796 alpha=90.04 beta=90.04 gamma=49.19
Sites, in units of the cell vectors:
Li 0.009 0.627 0.978
Li 0.147 0.853 0.500
Li 0.345 0.777 0.166
Li 0.436 0.966 0.802
Li 0.627 0.009 0.478
Li 0.777 0.345 0.666
Li 0.853 0.147 0.000
Li 0.966 0.436 0.302
Au 0.318 0.430 0.722
Au 0.430 0.318 0.222
Se 0.177 0.235 0.564
Se 0.235 0.177 0.064
Se 0.481 0.587 0.891
Se 0.587 0.481 0.391
Se 0.842 0.928 0.737
Se 0.928 0.842 0.237